BaSr2Er6O12: theoretical powder diffractogram (Cu Kα), based on a DFT-relaxed cell (PBE, the Materials Project).

Principal peaks in the range 2θ from 10° to 80°, sorted by position:
hkl 3 0 0, 2θ 30.03, I = 100
hkl 1 1 1, 2θ 31.40, I = 79
hkl 2 1 1, 2θ 37.45, I = 14
hkl 2 2 1, 2θ 44.00, I = 38
hkl 3 3 0, 2θ 53.32, I = 21
hkl 4 1 1, 2θ 54.19, I = 39
hkl 6 0 0, 2θ 62.42, I = 13
hkl 3 0 2, 2θ 62.69, I = 25
hkl 5 2 1, 2θ 71.54, I = 13
hkl 3 3 2, 2θ 79.02, I = 13

Structural model:
```
BaSr2Er6O12
1.0
10.3082 0.0000 0.0000
-5.1541 8.9271 0.0000
0.0000 0.0000 3.4183
Ba Sr Er O
1 2 6 12
Direct
0.0000 0.0000 0.0000
0.3333 0.6667 0.5000
0.6667 0.3333 0.0000
0.9995 0.3489 0.0000
0.0000 0.6537 0.5000
0.3463 0.3462 0.5000
0.3493 0.0005 0.0000
0.6511 0.6507 0.0000
0.6538 0.0000 0.5000
0.1054 0.2906 0.5000
0.1257 0.6041 0.0000
0.1852 0.8946 0.5000
0.3053 0.1926 0.0000
0.3959 0.5216 0.0000
0.4784 0.8743 0.0000
0.5211 0.1232 0.5000
0.6021 0.4789 0.5000
0.7094 0.8148 0.5000
0.8074 0.1128 0.0000
0.8768 0.3979 0.5000
0.8872 0.6947 0.0000
```